(1)
Theoretical powder diffraction line list
Compound: LiCrPO4
Radiation: Cu Kα, 1.54184 Å
Structure: the PBE+U geometry in the Materials Project

Most intense lines, 2θ from 5° to 70°, by angle:
- 12.51 deg, d 7.073, rel. 62
- 20.15 deg, d 4.406, rel. 13
- 22.91 deg, d 3.881, rel. 44
- 23.72 deg, d 3.752, rel. 22
- 25.18 deg, d 3.536, rel. 17
- 29.62 deg, d 3.016, rel. 23
- 30.45 deg, d 2.936, rel. 42
- 33.69 deg, d 2.661, rel. 100
- 37.23 deg, d 2.415, rel. 26
- 39.38 deg, d 2.288, rel. 13
- 42.50 deg, d 2.127, rel. 13
- 51.19 deg, d 1.785, rel. 20

```
data_LiCrPO4
_chemical_formula_sum 'Li8 Cr8 P8 O32'
_space_group_name_H-M_alt 'P 1'
_space_group_IT_number 1
_cell_length_a 5.774
_cell_length_b 7.782
_cell_length_c 14.146
_cell_angle_alpha 90.00
_cell_angle_beta 90.00
_cell_angle_gamma 90.00
loop_
_space_group_symop_operation_xyz
'x,y,z'
loop_
_atom_site_label
_atom_site_type_symbol
_atom_site_fract_x
_atom_site_fract_y
_atom_site_fract_z
Li1 Li 0.078 0.174 0.027
Li2 Li 0.078 0.326 0.527
Li3 Li 0.422 0.674 0.027
Li4 Li 0.422 0.826 0.527
Li5 Li 0.578 0.174 0.473
Li6 Li 0.578 0.326 0.973
Li7 Li 0.922 0.674 0.473
Li8 Li 0.922 0.826 0.973
Cr1 Cr 0.129 0.640 0.688
Cr2 Cr 0.129 0.860 0.188
Cr3 Cr 0.371 0.140 0.688
Cr4 Cr 0.371 0.360 0.188
Cr5 Cr 0.629 0.640 0.812
Cr6 Cr 0.629 0.860 0.312
Cr7 Cr 0.871 0.140 0.812
Cr8 Cr 0.871 0.360 0.312
P1 P 0.108 0.032 0.373
P2 P 0.108 0.468 0.873
P3 P 0.392 0.532 0.373
P4 P 0.392 0.968 0.873
P5 P 0.608 0.032 0.127
P6 P 0.608 0.468 0.627
P7 P 0.892 0.532 0.127
P8 P 0.892 0.968 0.627
O1 O 0.036 0.138 0.634
O2 O 0.036 0.362 0.134
O3 O 0.051 0.679 0.089
O4 O 0.051 0.821 0.589
O5 O 0.176 0.508 0.434
O6 O 0.176 0.992 0.934
O7 O 0.179 0.077 0.269
O8 O 0.179 0.423 0.769
O9 O 0.321 0.577 0.269
O10 O 0.321 0.923 0.769
O11 O 0.324 0.008 0.434
O12 O 0.324 0.492 0.934
O13 O 0.449 0.179 0.089
O14 O 0.449 0.321 0.589
O15 O 0.464 0.638 0.634
O16 O 0.464 0.862 0.134
O17 O 0.536 0.138 0.866
O18 O 0.536 0.362 0.366
O19 O 0.551 0.679 0.411
O20 O 0.551 0.821 0.911
O21 O 0.676 0.508 0.066
O22 O 0.676 0.992 0.566
O23 O 0.679 0.077 0.231
O24 O 0.679 0.423 0.731
O25 O 0.821 0.577 0.231
O26 O 0.821 0.923 0.731
O27 O 0.824 0.008 0.066
O28 O 0.824 0.492 0.566
O29 O 0.949 0.179 0.411
O30 O 0.949 0.321 0.911
O31 O 0.964 0.638 0.866
O32 O 0.964 0.862 0.366
```

---

(2)
Theoretical powder diffraction line list
Compound: Li3CrP2O8
Radiation: Cu Kα, 1.54184 Å
Structure: the PBE+U geometry in the Materials Project

Most intense lines, 2θ from 5° to 70°, by angle:
- 13.62 deg, d 6.501, rel. 82
- 24.53 deg, d 3.628, rel. 100
- 25.46 deg, d 3.498, rel. 50
- 31.62 deg, d 2.830, rel. 11
- 33.81 deg, d 2.651, rel. 30
- 35.28 deg, d 2.544, rel. 56
- 36.77 deg, d 2.444, rel. 8
- 39.61 deg, d 2.275, rel. 29
- 53.51 deg, d 1.713, rel. 14
- 56.66 deg, d 1.624, rel. 14
- 58.08 deg, d 1.588, rel. 12
- 60.86 deg, d 1.522, rel. 11

```
data_Li3CrP2O8
_chemical_formula_sum 'Li6 Cr2 P4 O16'
_space_group_name_H-M_alt 'P 1'
_space_group_IT_number 1
_cell_length_a 5.145
_cell_length_b 5.145
_cell_length_c 13.126
_cell_angle_alpha 96.97
_cell_angle_beta 96.97
_cell_angle_gamma 54.70
loop_
_space_group_symop_operation_xyz
'x,y,z'
loop_
_atom_site_label
_atom_site_type_symbol
_atom_site_fract_x
_atom_site_fract_y
_atom_site_fract_z
Li1 Li 0.056 0.944 0.750
Li2 Li 0.296 0.371 0.351
Li3 Li 0.371 0.296 0.851
Li4 Li 0.629 0.704 0.149
Li5 Li 0.704 0.629 0.649
Li6 Li 0.944 0.056 0.250
Cr1 Cr 0.000 0.000 0.000
Cr2 Cr 0.000 0.000 0.500
P1 P 0.318 0.362 0.112
P2 P 0.362 0.318 0.612
P3 P 0.638 0.682 0.388
P4 P 0.682 0.638 0.888
O1 O 0.033 0.331 0.084
O2 O 0.172 0.731 0.129
O3 O 0.187 0.494 0.711
O4 O 0.223 0.549 0.526
O5 O 0.269 0.828 0.371
O6 O 0.331 0.033 0.584
O7 O 0.451 0.777 0.974
O8 O 0.494 0.187 0.211
O9 O 0.506 0.813 0.789
O10 O 0.549 0.223 0.026
O11 O 0.669 0.967 0.416
O12 O 0.731 0.172 0.629
O13 O 0.777 0.451 0.474
O14 O 0.813 0.506 0.289
O15 O 0.828 0.269 0.871
O16 O 0.967 0.669 0.916
```

---

(3)
Theoretical powder diffraction line list
Compound: LiCr2P2O8
Radiation: Cu Kα, 1.54184 Å
Structure: the PBE+U geometry in the Materials Project

Most intense lines, 2θ from 5° to 70°, by angle:
- 14.51 deg, d 6.106, rel. 79
- 19.09 deg, d 4.648, rel. 50
- 19.50 deg, d 4.553, rel. 48
- 19.87 deg, d 4.469, rel. 36
- 21.98 deg, d 4.044, rel. 100
- 22.40 deg, d 3.969, rel. 18
- 22.73 deg, d 3.913, rel. 14
- 33.90 deg, d 2.644, rel. 22
- 34.35 deg, d 2.611, rel. 16
- 35.25 deg, d 2.546, rel. 25
- 35.89 deg, d 2.502, rel. 24
- 50.04 deg, d 1.823, rel. 14

```
data_LiCr2P2O8
_chemical_formula_sum 'Li2 Cr4 P4 O16'
_space_group_name_H-M_alt 'P 1'
_space_group_IT_number 1
_cell_length_a 5.159
_cell_length_b 8.098
_cell_length_c 10.535
_cell_angle_alpha 90.00
_cell_angle_beta 118.06
_cell_angle_gamma 90.00
loop_
_space_group_symop_operation_xyz
'x,y,z'
loop_
_atom_site_label
_atom_site_type_symbol
_atom_site_fract_x
_atom_site_fract_y
_atom_site_fract_z
Li1 Li 0.000 0.196 0.000
Li2 Li 0.000 0.804 0.500
Cr1 Cr 0.078 0.417 0.626
Cr2 Cr 0.078 0.583 0.126
Cr3 Cr 0.524 0.086 0.574
Cr4 Cr 0.524 0.914 0.074
P1 P 0.122 0.043 0.745
P2 P 0.122 0.957 0.245
P3 P 0.331 0.477 0.458
P4 P 0.331 0.523 0.958
O1 O 0.110 0.467 0.298
O2 O 0.110 0.533 0.798
O3 O 0.174 0.033 0.903
O4 O 0.174 0.967 0.403
O5 O 0.231 0.403 0.044
O6 O 0.231 0.597 0.544
O7 O 0.301 0.309 0.531
O8 O 0.301 0.691 0.031
O9 O 0.416 0.038 0.739
O10 O 0.416 0.962 0.239
O11 O 0.644 0.495 0.985
O12 O 0.644 0.505 0.485
O13 O 0.885 0.080 0.139
O14 O 0.885 0.920 0.639
O15 O 0.943 0.211 0.682
O16 O 0.943 0.789 0.182
```

---

(4)
Theoretical powder diffraction line list
Compound: Li3Cr3P4O16
Radiation: Cu Kα, 1.54184 Å
Structure: the PBE+U geometry in the Materials Project

Most intense lines, 2θ from 5° to 70°, by angle:
- 16.52 deg, d 5.366, rel. 30
- 21.26 deg, d 4.180, rel. 26
- 21.44 deg, d 4.145, rel. 62
- 25.30 deg, d 3.520, rel. 36
- 25.98 deg, d 3.430, rel. 100
- 29.09 deg, d 3.069, rel. 51
- 30.96 deg, d 2.888, rel. 33
- 31.67 deg, d 2.825, rel. 28
- 32.09 deg, d 2.789, rel. 78
- 32.57 deg, d 2.749, rel. 32
- 33.72 deg, d 2.658, rel. 48
- 40.46 deg, d 2.229, rel. 25

```
data_Li3Cr3P4O16
_chemical_formula_sum 'Li6 Cr6 P8 O32'
_space_group_name_H-M_alt 'P 1'
_space_group_IT_number 1
_cell_length_a 6.226
_cell_length_b 11.302
_cell_length_c 8.471
_cell_angle_alpha 90.00
_cell_angle_beta 101.65
_cell_angle_gamma 90.00
loop_
_space_group_symop_operation_xyz
'x,y,z'
loop_
_atom_site_label
_atom_site_type_symbol
_atom_site_fract_x
_atom_site_fract_y
_atom_site_fract_z
Li1 Li 0.102 0.000 0.153
Li2 Li 0.147 0.308 0.429
Li3 Li 0.358 0.090 0.561
Li4 Li 0.642 0.590 0.439
Li5 Li 0.853 0.808 0.571
Li6 Li 0.898 0.500 0.847
Cr1 Cr 0.078 0.612 0.219
Cr2 Cr 0.376 0.384 0.838
Cr3 Cr 0.400 0.789 0.774
Cr4 Cr 0.600 0.289 0.226
Cr5 Cr 0.624 0.884 0.162
Cr6 Cr 0.922 0.112 0.781
P1 P 0.074 0.284 0.096
P2 P 0.135 0.572 0.585
P3 P 0.370 0.829 0.401
P4 P 0.459 0.107 0.899
P5 P 0.541 0.607 0.101
P6 P 0.630 0.329 0.599
P7 P 0.865 0.072 0.415
P8 P 0.926 0.784 0.904
O1 O 0.010 0.160 0.018
O2 O 0.079 0.136 0.418
O3 O 0.106 0.830 0.816
O4 O 0.113 0.374 0.966
O5 O 0.141 0.465 0.704
O6 O 0.150 0.516 0.420
O7 O 0.160 0.754 0.343
O8 O 0.236 0.110 0.781
O9 O 0.285 0.279 0.230
O10 O 0.345 0.646 0.650
O11 O 0.352 0.884 0.567
O12 O 0.375 0.929 0.275
O13 O 0.377 0.577 0.208
O14 O 0.410 0.266 0.599
O15 O 0.460 0.005 0.019
O16 O 0.491 0.732 0.016
O17 O 0.509 0.232 0.984
O18 O 0.540 0.505 0.981
O19 O 0.590 0.766 0.401
O20 O 0.623 0.077 0.792
O21 O 0.625 0.429 0.725
O22 O 0.648 0.384 0.433
O23 O 0.655 0.146 0.350
O24 O 0.715 0.779 0.770
O25 O 0.764 0.610 0.219
O26 O 0.840 0.254 0.657
O27 O 0.850 0.016 0.580
O28 O 0.859 0.965 0.296
O29 O 0.887 0.874 0.034
O30 O 0.894 0.330 0.184
O31 O 0.921 0.636 0.582
O32 O 0.990 0.660 0.982
```

---

(5)
Theoretical powder diffraction line list
Compound: LiCrP4O12
Radiation: Cu Kα, 1.54184 Å
Structure: the PBE+U geometry in the Materials Project

Most intense lines, 2θ from 5° to 70°, by angle:
- 10.55 deg, d 8.386, rel. 48
- 14.50 deg, d 6.108, rel. 100
- 17.44 deg, d 5.084, rel. 39
- 18.75 deg, d 4.732, rel. 24
- 21.96 deg, d 4.047, rel. 10
- 22.74 deg, d 3.911, rel. 46
- 25.04 deg, d 3.556, rel. 25
- 26.69 deg, d 3.340, rel. 17
- 29.08 deg, d 3.071, rel. 14
- 33.93 deg, d 2.642, rel. 12
- 34.25 deg, d 2.618, rel. 20
- 35.31 deg, d 2.542, rel. 11

```
data_LiCrP4O12
_chemical_formula_sum 'Li2 Cr2 P8 O24'
_space_group_name_H-M_alt 'P 1'
_space_group_IT_number 1
_cell_length_a 10.481
_cell_length_b 10.481
_cell_length_c 5.168
_cell_angle_alpha 98.18
_cell_angle_beta 98.18
_cell_angle_gamma 71.28
loop_
_space_group_symop_operation_xyz
'x,y,z'
loop_
_atom_site_label
_atom_site_type_symbol
_atom_site_fract_x
_atom_site_fract_y
_atom_site_fract_z
Li1 Li 0.083 0.083 0.064
Li2 Li 0.917 0.917 0.936
Cr1 Cr 0.000 0.500 0.500
Cr2 Cr 0.500 0.000 0.500
P1 P 0.133 0.712 0.325
P2 P 0.196 0.439 0.033
P3 P 0.288 0.867 0.675
P4 P 0.439 0.196 0.033
P5 P 0.561 0.804 0.967
P6 P 0.712 0.133 0.325
P7 P 0.804 0.561 0.967
P8 P 0.867 0.288 0.675
O1 O 0.056 0.663 0.496
O2 O 0.059 0.830 0.179
O3 O 0.103 0.407 0.194
O4 O 0.166 0.422 0.739
O5 O 0.170 0.941 0.821
O6 O 0.211 0.586 0.126
O7 O 0.266 0.734 0.500
O8 O 0.337 0.944 0.504
O9 O 0.349 0.349 0.107
O10 O 0.407 0.103 0.194
O11 O 0.414 0.789 0.874
O12 O 0.422 0.166 0.739
O13 O 0.578 0.834 0.261
O14 O 0.586 0.211 0.126
O15 O 0.593 0.897 0.806
O16 O 0.651 0.651 0.893
O17 O 0.663 0.056 0.496
O18 O 0.734 0.266 0.500
O19 O 0.789 0.414 0.874
O20 O 0.830 0.059 0.179
O21 O 0.834 0.578 0.261
O22 O 0.897 0.593 0.806
O23 O 0.941 0.170 0.821
O24 O 0.944 0.337 0.504
```

---

(6)
Theoretical powder diffraction line list
Compound: LiCrPO4
Radiation: Cu Kα, 1.54184 Å
Structure: the PBE+U geometry in the Materials Project

Most intense lines, 2θ from 5° to 70°, by angle:
- 14.82 deg, d 5.977, rel. 44
- 15.60 deg, d 5.682, rel. 48
- 19.36 deg, d 4.586, rel. 60
- 20.42 deg, d 4.350, rel. 100
- 23.19 deg, d 3.835, rel. 51
- 23.60 deg, d 3.769, rel. 100
- 29.82 deg, d 2.996, rel. 73
- 31.01 deg, d 2.884, rel. 45
- 34.50 deg, d 2.600, rel. 31
- 36.05 deg, d 2.492, rel. 36
- 36.48 deg, d 2.463, rel. 34
- 37.07 deg, d 2.425, rel. 29

```
data_LiCrPO4
_chemical_formula_sum 'Li8 Cr8 P8 O32'
_space_group_name_H-M_alt 'P 1'
_space_group_IT_number 1
_cell_length_a 7.549
_cell_length_b 4.941
_cell_length_c 18.367
_cell_angle_alpha 90.00
_cell_angle_beta 92.95
_cell_angle_gamma 90.00
loop_
_space_group_symop_operation_xyz
'x,y,z'
loop_
_atom_site_label
_atom_site_type_symbol
_atom_site_fract_x
_atom_site_fract_y
_atom_site_fract_z
Li1 Li 0.001 0.162 0.327
Li2 Li 0.001 0.338 0.827
Li3 Li 0.481 0.741 0.094
Li4 Li 0.481 0.759 0.594
Li5 Li 0.519 0.241 0.406
Li6 Li 0.519 0.259 0.906
Li7 Li 0.999 0.662 0.173
Li8 Li 0.999 0.838 0.673
Cr1 Cr 0.138 0.237 0.511
Cr2 Cr 0.138 0.263 0.011
Cr3 Cr 0.318 0.720 0.275
Cr4 Cr 0.318 0.780 0.775
Cr5 Cr 0.682 0.220 0.225
Cr6 Cr 0.682 0.280 0.725
Cr7 Cr 0.862 0.737 0.989
Cr8 Cr 0.862 0.763 0.489
P1 P 0.257 0.705 0.936
P2 P 0.257 0.795 0.436
P3 P 0.258 0.154 0.179
P4 P 0.258 0.346 0.679
P5 P 0.742 0.654 0.321
P6 P 0.742 0.846 0.821
P7 P 0.743 0.205 0.564
P8 P 0.743 0.295 0.064
O1 O 0.065 0.560 0.930
O2 O 0.065 0.940 0.430
O3 O 0.124 0.001 0.228
O4 O 0.124 0.499 0.728
O5 O 0.229 0.062 0.099
O6 O 0.229 0.438 0.599
O7 O 0.239 0.036 0.689
O8 O 0.239 0.464 0.189
O9 O 0.241 0.017 0.927
O10 O 0.241 0.483 0.427
O11 O 0.335 0.619 0.010
O12 O 0.335 0.881 0.510
O13 O 0.357 0.580 0.872
O14 O 0.357 0.920 0.372
O15 O 0.444 0.041 0.205
O16 O 0.444 0.459 0.705
O17 O 0.556 0.541 0.295
O18 O 0.556 0.959 0.795
O19 O 0.643 0.080 0.628
O20 O 0.643 0.420 0.128
O21 O 0.665 0.119 0.490
O22 O 0.665 0.381 0.990
O23 O 0.759 0.517 0.573
O24 O 0.759 0.983 0.073
O25 O 0.761 0.536 0.811
O26 O 0.761 0.964 0.311
O27 O 0.771 0.562 0.401
O28 O 0.771 0.938 0.901
O29 O 0.876 0.501 0.272
O30 O 0.876 0.999 0.772
O31 O 0.935 0.060 0.570
O32 O 0.935 0.440 0.070
```